Structure and calculated powder XRD pattern of Ca2SbWO6 (a GGA+U-relaxed structure; a wavelength of 1.5418 Å).

Largest 12 diffraction maxima, by angle, 2θ from 10° to 90°:
(hkl), d_spacing, 2θ (°), I (rel.)
1 0 -1, 4.159, 21.37, 51
1 0 1, 4.049, 21.95, 100
0 0 2, 2.950, 30.30, 47
1 2 -1, 2.903, 30.80, 96
1 2 1, 2.863, 31.24, 91
2 0 0, 2.852, 31.37, 44
2 0 -2, 2.079, 43.52, 24
0 4 0, 2.027, 44.72, 24
2 2 2, 1.811, 50.40, 25
0 4 2, 1.670, 54.97, 22
3 2 -1, 1.664, 55.21, 26
3 2 1, 1.641, 56.04, 21

Structure:
```
data_Ca2SbWO6
_symmetry_space_group_name_H-M 'P 1 21/m 1'
_symmetry_Int_Tables_number 11
_cell_length_a 5.7054
_cell_length_b 8.1064
_cell_length_c 5.9013
_cell_angle_alpha 90.00
_cell_angle_beta 91.60
_cell_angle_gamma 90.00
loop_
_symmetry_equiv_pos_as_xyz
'x,y,z'
'-x,-y,-z'
'-x,y+1/2,-z'
'x,-y+1/2,z'
loop_
_atom_site_label
_atom_site_type_symbol
_atom_site_fract_x
_atom_site_fract_y
_atom_site_fract_z
Ca1 Ca 0.0008 0.2500 0.4490
Ca2 Ca 0.4847 0.2500 0.9401
Sb1 Sb 0.0000 0.0000 0.0000
W1 W 0.5000 0.0000 0.5000
O1 O 0.1267 0.7500 0.9423
O2 O 0.2072 0.0594 0.6757
O3 O 0.3420 0.0584 0.2134
O4 O 0.3943 0.7500 0.4529
```